[1]
Structure and calculated powder diffractogram of SrLi3Pd (the PBE geometry in Alexandria; copper Kα).
Kinematic intensities with the Lorentz-polarization factor, no thermal factor.

Main lines, in order of rising 2θ (10 to 80 degrees two-theta):
d [Å]  2theta  I_rel  hkl
6.691  13.23  100  0 0 1
3.580  24.87  16  1 0 1
3.025  29.53  19  1 1 -2
2.954  30.26  20  0 2 0
2.702  33.15  26  0 2 1
2.627  34.13  28  2 1 -1
2.458  36.56  17  2 1 0
2.451  36.67  12  1 0 2
2.432  36.95  20  2 1 -2
2.239  40.28  18  1 1 -3

Cell and atoms:
```
data_SrLi3Pd
_cell_length_a 5.866
_cell_length_b 5.907
_cell_length_c 7.260
_cell_angle_alpha 90.00
_cell_angle_beta 112.85
_cell_angle_gamma 90.00
_symmetry_space_group_name_H-M 'P 1'
_symmetry_Int_Tables_number 1
loop_
_symmetry_equiv_pos_as_xyz
'x,y,z'
loop_
_atom_site_label
_atom_site_type_symbol
_atom_site_fract_x
_atom_site_fract_y
_atom_site_fract_z
Sr1 Sr 0.206 0.250 0.130
Sr2 Sr 0.794 0.750 0.870
Li1 Li 0.229 0.009 0.695
Li2 Li 0.229 0.491 0.695
Li3 Li 0.339 0.750 0.376
Li4 Li 0.661 0.250 0.624
Li5 Li 0.771 0.509 0.305
Li6 Li 0.771 0.991 0.305
Pd1 Pd 0.382 0.750 0.034
Pd2 Pd 0.618 0.250 0.966
```



[2]
Structure and calculated powder diffractogram of CuSb2H12O6F8 (the PBE geometry in Alexandria; copper Kα).
Kinematic intensities with the Lorentz-polarization factor, no thermal factor.

Main lines, in order of rising 2θ (10 to 80 degrees two-theta):
d [Å]  2theta  I_rel  hkl
4.769  18.60  40  1 1 -1
4.583  19.37  82  0 3 1
4.558  19.48  61  0 4 0
4.467  19.87  36  1 0 0
4.339  20.47  43  1 1 0
4.011  22.16  100  1 2 0
3.489  25.53  32  0 0 2
3.432  25.96  78  1 2 -2
2.440  36.84  39  0 7 1
2.217  40.70  44  2 1 0

Cell and atoms:
```
data_CuSb2H12O6F8
_cell_length_a 5.039
_cell_length_b 18.231
_cell_length_c 7.871
_cell_angle_alpha 90.00
_cell_angle_beta 117.57
_cell_angle_gamma 90.00
_symmetry_space_group_name_H-M 'P 1'
_symmetry_Int_Tables_number 1
loop_
_symmetry_equiv_pos_as_xyz
'x,y,z'
loop_
_atom_site_label
_atom_site_type_symbol
_atom_site_fract_x
_atom_site_fract_y
_atom_site_fract_z
Cu1 Cu 0.000 0.000 0.000
Cu2 Cu 0.000 0.500 0.500
Sb1 Sb 0.377 0.220 0.491
Sb2 Sb 0.377 0.280 0.991
Sb3 Sb 0.623 0.720 0.009
Sb4 Sb 0.623 0.780 0.509
H1 H 0.168 0.112 0.856
H2 H 0.168 0.388 0.356
H3 H 0.171 0.589 0.785
H4 H 0.171 0.911 0.285
H5 H 0.254 0.555 0.318
H6 H 0.254 0.945 0.818
H7 H 0.271 0.616 0.468
H8 H 0.271 0.884 0.968
H9 H 0.412 0.022 0.662
H10 H 0.412 0.478 0.162
H11 H 0.498 0.060 0.353
H12 H 0.498 0.440 0.853
H13 H 0.502 0.560 0.147
H14 H 0.502 0.940 0.647
H15 H 0.588 0.522 0.838
H16 H 0.588 0.978 0.338
H17 H 0.729 0.116 0.032
H18 H 0.729 0.384 0.532
H19 H 0.746 0.055 0.182
H20 H 0.746 0.445 0.682
H21 H 0.829 0.089 0.715
H22 H 0.829 0.411 0.215
H23 H 0.832 0.612 0.644
H24 H 0.832 0.888 0.144
O1 O 0.027 0.070 0.812
O2 O 0.027 0.430 0.312
O3 O 0.140 0.577 0.383
O4 O 0.140 0.923 0.883
O5 O 0.474 0.525 0.234
O6 O 0.474 0.975 0.734
O7 O 0.526 0.025 0.266
O8 O 0.526 0.475 0.766
O9 O 0.860 0.077 0.117
O10 O 0.860 0.423 0.617
O11 O 0.973 0.570 0.688
O12 O 0.973 0.930 0.188
F1 F 0.188 0.725 0.849
F2 F 0.188 0.775 0.349
F3 F 0.435 0.175 0.902
F4 F 0.435 0.325 0.402
F5 F 0.438 0.191 0.266
F6 F 0.438 0.309 0.766
F7 F 0.478 0.103 0.550
F8 F 0.478 0.397 0.050
F9 F 0.522 0.603 0.950
F10 F 0.522 0.897 0.450
F11 F 0.562 0.691 0.234
F12 F 0.562 0.809 0.734
F13 F 0.565 0.675 0.598
F14 F 0.565 0.825 0.098
F15 F 0.812 0.225 0.651
F16 F 0.812 0.275 0.151
```